No. 1
# Na2Pd2Br7
Calculated X-ray powder pattern, λ = 1.5418 Å (Cu Kα). Input: a crystal structure in Alexandria, relaxed with PBE.
No peak broadening, texture or thermal motion is included.

Peak list (12 most intense, 10 to 80 degrees two-theta, by angle)
| Position (°2θ) | I/Imax |
| --- | --- |
| 14.5 | 73.2 |
| 17.1 | 42.8 |
| 17.9 | 43.5 |
| 18.9 | 100.0 |
| 31.8 | 39.3 |
| 34.1 | 73.4 |
| 35.0 | 78.7 |
| 38.7 | 23.6 |
| 39.6 | 37.0 |
| 45.2 | 25.5 |
| 47.6 | 29.8 |
| 54.7 | 25.3 |

Cell and atoms:
abc: 7.4379 7.4379 7.3612
angles: 91.91 91.91 110.19
Sites, in units of the cell vectors:
Na1 0.1831 0.8169 0.0000
Na2 0.8169 0.1831 0.0000
Pd1 0.2204 0.2204 0.6162
Pd2 0.7796 0.7796 0.3838
Br1 0.0744 0.0744 0.2929
Br2 0.1389 0.4352 0.8491
Br3 0.4352 0.1389 0.8491
Br4 0.5000 0.5000 0.5000
Br5 0.5648 0.8611 0.1509
Br6 0.8611 0.5648 0.1509
Br7 0.9256 0.9256 0.7071

=====

No. 2
# Na4PdBr5
Calculated X-ray powder pattern, λ = 1.5418 Å (Cu Kα). Input: a crystal structure in Alexandria, relaxed with PBE.
No peak broadening, texture or thermal motion is included.

Peak list (12 most intense, 10 to 80 degrees two-theta, by angle)
| Position (°2θ) | I/Imax |
| --- | --- |
| 13.3 | 13.2 |
| 17.7 | 13.1 |
| 26.0 | 22.3 |
| 30.1 | 100.0 |
| 43.1 | 72.7 |
| 51.0 | 7.0 |
| 53.5 | 25.5 |
| 62.6 | 7.5 |
| 71.0 | 20.2 |
| 71.2 | 10.4 |
| 79.1 | 14.9 |
| 79.2 | 7.8 |

Cell and atoms:
abc: 7.2659 7.2659 7.2659
angles: 99.55 99.55 131.93
Sites, in units of the cell vectors:
Na1 0.0992 0.2963 0.3955
Na2 0.2963 0.9008 0.1971
Na3 0.7037 0.0992 0.8029
Na4 0.9008 0.7037 0.6045
Pd1 0.5000 0.5000 0.0000
Br1 0.0000 0.0000 0.0000
Br2 0.2123 0.5915 0.8038
Br3 0.4085 0.2123 0.6208
Br4 0.5915 0.7877 0.3792
Br5 0.7877 0.4085 0.1962

=====

Please write out number 1 again, unchanged.
# Na2Pd2Br7
Calculated X-ray powder pattern, λ = 1.5418 Å (Cu Kα). Input: a crystal structure in Alexandria, relaxed with PBE.
No peak broadening, texture or thermal motion is included.

Peak list (12 most intense, 10 to 80 degrees two-theta, by angle)
| Position (°2θ) | I/Imax |
| --- | --- |
| 14.5 | 73.2 |
| 17.1 | 42.8 |
| 17.9 | 43.5 |
| 18.9 | 100.0 |
| 31.8 | 39.3 |
| 34.1 | 73.4 |
| 35.0 | 78.7 |
| 38.7 | 23.6 |
| 39.6 | 37.0 |
| 45.2 | 25.5 |
| 47.6 | 29.8 |
| 54.7 | 25.3 |

Cell and atoms:
abc: 7.4379 7.4379 7.3612
angles: 91.91 91.91 110.19
Sites, in units of the cell vectors:
Na1 0.1831 0.8169 0.0000
Na2 0.8169 0.1831 0.0000
Pd1 0.2204 0.2204 0.6162
Pd2 0.7796 0.7796 0.3838
Br1 0.0744 0.0744 0.2929
Br2 0.1389 0.4352 0.8491
Br3 0.4352 0.1389 0.8491
Br4 0.5000 0.5000 0.5000
Br5 0.5648 0.8611 0.1509
Br6 0.8611 0.5648 0.1509
Br7 0.9256 0.9256 0.7071